No. 1
Starting from a crystal structure in Alexandria, relaxed with PBE, the powder X-ray diffraction pattern of CePuTh2Se4 was simulated for Cu Kα.
Intensities are scaled so that the largest is 100.

Cell and atoms:
```
CePuTh2Se4
1.0
7.2588 0.0000 0.0000
0.0000 4.1606 0.0000
-2.3898 0.0000 6.8558
Ce Pu Th Se
1 1 2 4
Direct
0.0000 0.0000 0.0000
0.5000 0.5000 0.0000
0.0000 0.5000 0.5000
0.5000 0.0000 0.5000
0.2508 0.5000 0.2449
0.2552 0.0000 0.7574
0.7448 0.0000 0.2426
0.7492 0.5000 0.7551
```

Principal peaks in the range 2θ = 10–80°, by intensity:
2theta	I_rel
30.21	100
43.25	50
71.28	23
26.00	18
26.18	18
53.47	14

---

No. 2
Starting from a crystal structure in Alexandria, relaxed with PBE, the powder X-ray diffraction pattern of BeAlPd was simulated for Cu Kα.
Intensities are scaled so that the largest is 100.

Cell and atoms:
```
BeAlPd
1.0
-1.5232 1.5232 4.0915
1.5232 -1.5232 4.0915
1.5232 1.5232 -4.0915
Be Al Pd
1 1 1
Direct
0.0000 0.0000 0.0000
0.3273 0.3273 0.0000
0.6453 0.6453 0.0000
```

Principal peaks in the range 2θ = 10–80°, by intensity:
2theta	I_rel
31.33	100
44.59	80
21.72	56
41.94	49
78.47	29
47.71	27

---

No. 3
Starting from a crystal structure in Alexandria, relaxed with PBE, the powder X-ray diffraction pattern of BaOsBr2 was simulated for Cu Kα.
Intensities are scaled so that the largest is 100.

Cell and atoms:
```
BaOsBr2
1.0
2.0206 1.1666 8.9091
-2.0206 1.1666 8.9091
0.0000 -2.3331 8.9091
Ba Os Br
1 1 2
Direct
0.0000 0.0000 0.0000
0.5000 0.5000 0.5000
0.1235 0.1235 0.1235
0.8765 0.8765 0.8765
```

Principal peaks in the range 2θ = 10–80°, by intensity:
2theta	I_rel
26.32	100
37.21	91
19.93	60
44.86	53
49.54	33
42.56	30

---

No. 4
Starting from a crystal structure in Alexandria, relaxed with PBE, the powder X-ray diffraction pattern of Yb2Ni17 was simulated for Cu Kα.
Intensities are scaled so that the largest is 100.

Cell and atoms:
```
Yb2Ni17
1.0
8.3069 0.0000 0.0000
-4.1534 7.1940 0.0000
0.0000 0.0000 8.0293
Yb Ni
4 34
Direct
0.0000 0.0000 0.2500
0.0000 0.0000 0.7500
0.3333 0.6667 0.2500
0.6667 0.3333 0.7500
0.0000 0.5000 0.0000
0.0000 0.5000 0.5000
0.0444 0.3725 0.7500
0.0444 0.6719 0.7500
0.1665 0.3330 0.0212
0.1665 0.3330 0.4788
0.1665 0.8335 0.0212
0.1665 0.8335 0.4788
0.3281 0.3725 0.7500
0.3281 0.9556 0.7500
0.3330 0.1665 0.5212
0.3330 0.1665 0.9788
0.3333 0.6667 0.6030
0.3333 0.6667 0.8970
0.3725 0.0444 0.2500
0.3725 0.3281 0.2500
0.5000 0.0000 0.0000
0.5000 0.0000 0.5000
0.5000 0.5000 0.0000
0.5000 0.5000 0.5000
0.6275 0.6719 0.7500
0.6275 0.9556 0.7500
0.6667 0.3333 0.1030
0.6667 0.3333 0.3970
0.6670 0.8335 0.0212
0.6670 0.8335 0.4788
0.6719 0.0444 0.2500
0.6719 0.6275 0.2500
0.8335 0.1665 0.5212
0.8335 0.1665 0.9788
0.8335 0.6670 0.5212
0.8335 0.6670 0.9788
0.9556 0.3281 0.2500
0.9556 0.6275 0.2500
```

Principal peaks in the range 2θ = 10–80°, by intensity:
2theta	I_rel
43.98	100
43.58	63
37.51	42
30.98	40
42.08	39
45.17	31

---

No. 5
Starting from a crystal structure in Alexandria, relaxed with PBE, the powder X-ray diffraction pattern of DyBe2Ni6 was simulated for Cu Kα.
Intensities are scaled so that the largest is 100.

Cell and atoms:
```
DyBe2Ni6
1.0
0.0000 4.9789 4.9789
4.9789 0.0000 4.9789
4.9789 4.9789 0.0000
Dy Be Ni
2 4 12
Direct
0.1250 0.1250 0.1250
0.8750 0.8750 0.8750
0.0000 0.5000 0.5000
0.5000 0.0000 0.5000
0.5000 0.5000 0.0000
0.5000 0.5000 0.5000
0.1408 0.1408 0.6092
0.1408 0.6092 0.1408
0.1408 0.6092 0.6092
0.3908 0.3908 0.8592
0.3908 0.8592 0.3908
0.3908 0.8592 0.8592
0.6092 0.1408 0.1408
0.6092 0.1408 0.6092
0.6092 0.6092 0.1408
0.8592 0.3908 0.3908
0.8592 0.3908 0.8592
0.8592 0.8592 0.3908
```

Principal peaks in the range 2θ = 10–80°, by intensity:
2theta	I_rel
36.08	100
51.95	71
29.76	39
39.44	26
15.41	22
64.87	21

---

No. 6
Starting from a crystal structure in Alexandria, relaxed with PBE, the powder X-ray diffraction pattern of LiMnCl2 was simulated for Cu Kα.
Intensities are scaled so that the largest is 100.

Cell and atoms:
```
LiMnCl2
1.0
2.3849 -2.3903 0.0000
2.3849 2.3903 0.0000
0.0000 0.0000 6.7077
Li Mn Cl
1 1 2
Direct
0.0000 0.0000 0.0000
0.5000 0.5000 0.5538
0.0000 0.0000 0.3592
0.5000 0.5000 0.9078
```

Principal peaks in the range 2θ = 10–80°, by intensity:
2theta	I_rel
29.62	100
37.68	99
48.85	74
13.20	67
37.81	56
26.40	40

---

No. 7
Starting from a crystal structure in Alexandria, relaxed with PBE, the powder X-ray diffraction pattern of CdSnBi3 was simulated for Cu Kα.
Intensities are scaled so that the largest is 100.

Cell and atoms:
```
CdSnBi3
1.0
5.6645 0.0000 0.0000
0.0000 5.6645 0.0000
0.0000 0.0000 5.6645
Cd Sn Bi
1 1 3
Direct
0.0000 0.0000 0.0000
0.5000 0.5000 0.5000
0.0000 0.0000 0.5000
0.0000 0.5000 0.0000
0.5000 0.0000 0.0000
```

Principal peaks in the range 2θ = 10–80°, by intensity:
2theta	I_rel
27.27	100
31.59	97
45.28	74
53.66	49
74.98	34
15.64	28